Record 1
K2Hg3C8N8O8: theoretical powder diffractogram (λ = 1.5418 Å (Cu Kα)), based on a crystal structure in the Materials Project, relaxed with PBE.
Kinematic intensities with the Lorentz-polarization factor, no thermal factor.

Main lines, in order of rising 2θ (2θ from 10° to 80°):
- 2θ 18.1, intensity 47
- 2θ 18.3, intensity 86
- 2θ 23.6, intensity 62
- 2θ 23.9, intensity 100
- 2θ 24.6, intensity 46
- 2θ 25.0, intensity 61
- 2θ 25.9, intensity 53
- 2θ 27.5, intensity 84
- 2θ 28.7, intensity 45
- 2θ 35.7, intensity 39

Structural model:
```
K2Hg3C8N8O8
1.0
4.1109 0.0000 0.0000
-0.7627 10.6645 0.0000
-0.9503 -0.4966 11.1542
K Hg C N O
2 3 8 8 8
Cartesian
0.2338 5.0756 3.2315
2.1641 5.0923 7.9227
-0.4751 -0.2483 5.5771
0.3352 9.3714 1.2236
2.0627 0.7966 9.9305
0.0405 2.1226 7.8399
0.6166 1.5247 1.9891
0.0804 7.7468 6.1283
-0.1829 6.3418 10.9216
2.5809 3.8261 0.2326
2.3176 2.4212 5.0259
1.7813 8.6432 9.1651
2.3574 8.0453 3.3143
-0.0171 0.9839 8.2396
0.3654 7.3132 0.8053
1.0669 0.7957 1.1319
0.1414 8.9325 5.9094
2.2566 1.2355 5.2448
1.3311 9.3723 10.0223
2.0325 2.8547 10.3489
2.4151 9.1840 2.9146
0.1867 2.3199 2.7733
0.0959 3.2630 7.4245
0.1398 6.5660 6.3414
0.1834 5.7805 9.9231
2.2146 4.3874 1.2311
2.2581 3.6019 4.8128
2.3020 6.9049 3.7297
2.2113 7.8481 8.3809
```



Record 2
MnHgC4S4N4: theoretical powder diffractogram (λ = 1.5418 Å (Cu Kα)), based on a crystal structure in the Materials Project, relaxed with PBE.
Kinematic intensities with the Lorentz-polarization factor, no thermal factor.

Main lines, in order of rising 2θ (2θ from 10° to 80°):
- 2θ 11.0, intensity 82
- 2θ 15.5, intensity 98
- 2θ 20.8, intensity 73
- 2θ 22.0, intensity 36
- 2θ 26.1, intensity 100
- 2θ 30.5, intensity 54
- 2θ 34.4, intensity 51
- 2θ 35.1, intensity 36
- 2θ 37.9, intensity 33
- 2θ 46.8, intensity 46

Structural model:
```
MnHgC4S4N4
1.0
-5.7113 5.7113 2.3011
5.7113 -5.7113 2.3011
5.7113 5.7113 -2.3011
Mn Hg C S N
1 1 4 4 4
Cartesian
0.0000 0.0000 0.0000
5.7113 0.0000 1.1506
2.5943 -0.9030 1.6590
4.8082 3.1169 0.6421
3.1169 6.6143 -0.6421
0.9030 2.5943 2.9433
4.3171 1.7881 -0.1739
3.9231 -1.3942 2.4751
1.7881 7.1055 0.1739
1.3942 3.9231 2.1272
1.6129 -0.5726 1.0900
4.0984 6.2839 -1.2112
5.1387 4.0984 1.2112
0.5726 1.6129 3.5123
```